[1]
Structure and calculated PXRD pattern of SrLaTlAs2O8 (DFT lattice parameters and positions (PBE); CuKα).
Lines closer than 0.1° are merged.

Most intense lines, 15° ≤ 2θ ≤ 90°, low angle first:
2θ (°)	intensity
23.7	40
27.5	100
29.3	35
30.8	20
35.4	14
41.8	18
45.4	24
48.7	20
54.8	15
56.8	13

Cell and atoms:
Lattice parameters (Å, degrees): 7.485 7.485 13.805 90.00 90.00 120.00
Sites, in units of the cell vectors:
Sr (0.000, 0.504, 0.000)
Sr (0.496, 0.497, 0.667)
Sr (0.503, 0.000, 0.333)
La (0.500, 0.001, 0.836)
La (0.500, 0.500, 0.170)
La (0.999, 0.500, 0.503)
Tl (0.003, 0.013, 0.059)
Tl (0.010, 0.997, 0.392)
Tl (0.987, 0.990, 0.726)
As (0.000, 0.489, 0.255)
As (0.000, 0.490, 0.749)
As (0.489, 0.000, 0.588)
As (0.490, 0.000, 0.082)
As (0.510, 0.510, 0.415)
As (0.511, 0.511, 0.922)
O (0.124, 0.417, 0.666)
O (0.136, 0.422, 0.175)
O (0.140, 0.697, 0.330)
O (0.152, 0.698, 0.821)
O (0.287, 0.864, 0.509)
O (0.293, 0.876, 0.999)
O (0.302, 0.454, 0.488)
O (0.303, 0.443, 0.997)
O (0.416, 0.124, 0.672)
O (0.419, 0.134, 0.160)
O (0.443, 0.302, 0.341)
O (0.459, 0.304, 0.849)
O (0.546, 0.848, 0.155)
O (0.557, 0.860, 0.663)
O (0.578, 0.713, 0.842)
O (0.583, 0.707, 0.332)
O (0.696, 0.155, 0.515)
O (0.698, 0.141, 0.007)
O (0.708, 0.584, 0.005)
O (0.715, 0.581, 0.494)
O (0.845, 0.541, 0.182)
O (0.859, 0.557, 0.674)
O (0.866, 0.285, 0.827)
O (0.876, 0.292, 0.339)

[2]
Structure and calculated PXRD pattern of UCoSi2 (DFT lattice parameters and positions (PBE); CuKα).
Lines closer than 0.1° are merged.

Most intense lines, 15° ≤ 2θ ≤ 90°, low angle first:
2θ (°)	intensity
21.9	43
23.3	37
25.0	51
32.6	67
35.9	67
36.3	100
40.4	30
45.8	26
46.3	25
59.5	31

Cell and atoms:
Lattice parameters (Å, degrees): 8.338 8.338 3.963 90.00 90.00 152.78
Sites, in units of the cell vectors:
U (0.106, 0.894, 0.750)
U (0.894, 0.106, 0.250)
Co (0.324, 0.676, 0.750)
Co (0.676, 0.324, 0.250)
Si (0.250, 0.750, 0.250)
Si (0.461, 0.539, 0.750)
Si (0.539, 0.461, 0.250)
Si (0.750, 0.250, 0.750)

[3]
Structure and calculated PXRD pattern of Te4MoW3Se2S2 (DFT lattice parameters and positions (PBE); CuKα).
Lines closer than 0.1° are merged.

Most intense lines, 15° ≤ 2θ ≤ 90°, low angle first:
2θ (°)	intensity
30.4	54
32.5	18
35.5	100
36.7	17
42.6	67
44.3	23
54.0	39
55.3	15
66.3	16
75.1	19

Cell and atoms:
Lattice parameters (Å, degrees): 3.395 3.395 39.857 90.00 90.00 120.00
Sites, in units of the cell vectors:
Te (0.000, 0.000, 0.000)
Te (0.000, 0.000, 0.094)
Te (0.667, 0.333, 0.189)
Te (0.667, 0.333, 0.284)
Mo (0.667, 0.333, 0.047)
W (0.000, 0.000, 0.237)
W (0.000, 0.000, 0.612)
W (0.667, 0.333, 0.424)
Se (0.000, 0.000, 0.382)
Se (0.000, 0.000, 0.466)
S (0.667, 0.333, 0.574)
S (0.667, 0.333, 0.649)

[4]
Structure and calculated PXRD pattern of Pr2P3Rh3 (DFT lattice parameters and positions (PBE); CuKα).
Lines closer than 0.1° are merged.

Most intense lines, 15° ≤ 2θ ≤ 90°, low angle first:
2θ (°)	intensity
26.9	13
30.6	100
36.1	23
41.2	17
43.8	36
48.0	41
58.0	23
63.6	12
72.2	16
83.5	16

Cell and atoms:
Lattice parameters (Å, degrees): 2.924 2.924 19.902 90.00 90.00 90.00
Sites, in units of the cell vectors:
Pr (0.000, 0.000, 0.246)
Pr (0.000, 0.000, 0.754)
P (0.000, 0.000, 0.000)
P (0.000, 0.000, 0.388)
P (0.000, 0.000, 0.612)
Rh (0.000, 0.000, 0.107)
Rh (0.000, 0.000, 0.500)
Rh (0.000, 0.000, 0.893)

[5]
Structure and calculated PXRD pattern of CsMnCl3 (DFT lattice parameters and positions (PBE); CuKα).
Lines closer than 0.1° are merged.

Most intense lines, 15° ≤ 2θ ≤ 90°, low angle first:
2θ (°)	intensity
18.9	27
21.2	63
24.0	100
29.0	31
30.7	77
32.2	95
38.2	31
49.2	48
51.5	23
81.2	32

Cell and atoms:
Lattice parameters (Å, degrees): 10.181 10.181 10.181 42.67 42.67 42.67
Sites, in units of the cell vectors:
Cs (0.000, 0.000, 0.000)
Cs (0.220, 0.220, 0.220)
Cs (0.780, 0.780, 0.780)
Mn (0.384, 0.384, 0.384)
Mn (0.500, 0.500, 0.500)
Mn (0.616, 0.616, 0.616)
Cl (0.000, 0.500, 0.500)
Cl (0.249, 0.712, 0.712)
Cl (0.288, 0.288, 0.751)
Cl (0.288, 0.751, 0.288)
Cl (0.500, 0.000, 0.500)
Cl (0.500, 0.500, 0.000)
Cl (0.712, 0.249, 0.712)
Cl (0.712, 0.712, 0.249)
Cl (0.751, 0.288, 0.288)

[6]
Structure and calculated PXRD pattern of Nd3Bi4Au3 (DFT lattice parameters and positions (PBE); CuKα).
Lines closer than 0.1° are merged.

Most intense lines, 15° ≤ 2θ ≤ 90°, low angle first:
2θ (°)	intensity
21.0	17
27.3	11
32.4	100
38.9	30
42.8	17
44.7	20
48.2	12
56.2	11
60.7	11
66.4	10

Cell and atoms:
Lattice parameters (Å, degrees): 8.959 8.959 8.959 109.47 109.47 109.47
Sites, in units of the cell vectors:
Nd (0.125, 0.875, 0.250)
Nd (0.250, 0.125, 0.875)
Nd (0.375, 0.625, 0.750)
Nd (0.625, 0.750, 0.375)
Nd (0.750, 0.375, 0.625)
Nd (0.875, 0.250, 0.125)
Bi (0.000, 0.176, 0.500)
Bi (0.000, 0.676, 0.500)
Bi (0.176, 0.500, 0.000)
Bi (0.324, 0.324, 0.324)
Bi (0.500, 0.000, 0.176)
Bi (0.500, 0.000, 0.676)
Bi (0.676, 0.500, 0.000)
Bi (0.824, 0.824, 0.824)
Au (0.125, 0.750, 0.875)
Au (0.250, 0.625, 0.375)
Au (0.375, 0.250, 0.625)
Au (0.625, 0.375, 0.250)
Au (0.750, 0.875, 0.125)
Au (0.875, 0.125, 0.750)